Calculated powder X-ray diffraction pattern of Li2Mn3SbO8 for Cu Kα X-rays, from a DFT-relaxed cell (PBE+U, Alexandria).
Kinematic intensities with the Lorentz-polarization factor, no thermal factor.

Structural model:
```
data_Li2Mn3SbO8
_space_group_name_H-M_alt 'P 1 21/c 1'
_space_group_IT_number 14
_cell_length_a 6.106
_cell_length_b 5.910
_cell_length_c 10.702
_cell_angle_alpha 90.00
_cell_angle_beta 123.42
_cell_angle_gamma 90.00
loop_
_space_group_symop_operation_xyz
'x,y,z'
'-x,-y,-z'
'-x,y+1/2,-z+1/2'
'x,-y+1/2,z+1/2'
loop_
_atom_site_label
_atom_site_fract_x
_atom_site_fract_y
_atom_site_fract_z
Li1 0.103 0.004 0.365
Mn1 0.495 0.745 0.246
Mn2 0.500 0.000 0.000
Sb1 0.000 0.000 0.000
O1 0.226 0.742 0.502
O2 0.254 0.218 0.997
O3 0.255 0.000 0.231
O4 0.315 0.005 0.774
```

Most intense lines, 2θ = 10–90°, in order of rising 2θ:
(hkl)  Position (°2θ)  d_spacing  intensity
1 0 -2  17.79  4.985  51
0 1 1  18.00  4.929  100
1 0 2  33.16  2.702  12
0 1 3  33.70  2.659  16
2 1 -1  34.36  2.610  20
2 1 -3  34.77  2.580  17
1 2 0  35.10  2.557  14
0 2 2  36.46  2.465  12
0 0 4  40.39  2.233  27
2 2 -2  42.58  2.123  46
2 2 2  59.59  1.552  16
2 2 -6  60.68  1.526  22